[1]
Computed X-ray powder pattern of SbTe2Br for λ = 1.5418 Å (Cu Kα), from a crystal structure in Alexandria, relaxed with PBE.
Peak positions follow from Bragg's law for the DFT cell and can differ from measured ones.

Atomic structure:
Lattice parameters (Å, degrees): 7.956 5.442 13.368 90.00 104.88 90.00
Space group P2_1/c (No. 14)
One atom of each set of equivalent atoms:
Sb 0.202 0.017 0.411 x4
Te 0.100 0.677 0.570 x4
Te 0.449 0.179 0.065 x4
Br 0.215 0.111 0.746 x4

Peak list (12 most intense, 10° ≤ 2θ ≤ 90°, low angle first)
hkl, 2theta, I/Imax
0 0 2, 13.71, 89
1 1 2, 25.97, 99
1 1 -3, 26.60, 100
2 1 -1, 27.79, 47
2 1 -2, 28.89, 52
1 1 3, 30.99, 69
1 1 -4, 31.74, 82
3 0 0, 35.01, 36
3 0 -4, 38.85, 69
0 0 6, 41.96, 48
3 0 -6, 47.71, 38
0 3 1, 50.83, 46

***

[2]
Computed X-ray powder pattern of TlSb2Br8 for λ = 1.5418 Å (Cu Kα), from a crystal structure in Alexandria, relaxed with PBE.
Peak positions follow from Bragg's law for the DFT cell and can differ from measured ones.

Atomic structure:
Lattice parameters (Å, degrees): 11.300 11.906 7.609 90.00 96.79 90.00
Space group C2/m (No. 12)
One atom of each set of equivalent atoms:
Tl 0.000 0.000 0.000 x2
Sb 0.201 0.500 0.559 x4
Br 0.023 0.500 0.764 x4
Br 0.172 0.000 0.737 x4
Br 0.186 0.163 0.272 x8

Peak list (12 most intense, 10° ≤ 2θ ≤ 90°, low angle first)
hkl, 2theta, I/Imax
0 2 0, 14.88, 100
1 1 -1, 15.28, 62
2 0 -1, 18.55, 30
2 0 1, 20.81, 23
2 2 1, 25.68, 78
1 1 2, 26.84, 18
1 3 1, 27.01, 46
3 1 -2, 32.51, 68
3 1 2, 36.54, 26
2 4 1, 36.81, 32
1 3 -3, 42.47, 26
5 3 -1, 46.82, 19

***

[3]
Computed X-ray powder pattern of Tl3Sb2Br9 for λ = 1.5418 Å (Cu Kα), from a crystal structure in Alexandria, relaxed with PBE.
Peak positions follow from Bragg's law for the DFT cell and can differ from measured ones.

Atomic structure:
Lattice parameters (Å, degrees): 13.6541 13.6541 20.3557 90.00 90.00 120.00
Space group R-3c (No. 167, hexagonal axes)
One atom of each set of equivalent atoms:
Tl 0.0000 0.2782 0.2500 x18
Sb 0.0000 0.0000 0.1520 x12
Br 0.0000 0.1718 0.7500 x18
Br 0.0133 0.1774 0.4110 x36

Peak list (12 most intense, 10° ≤ 2θ ≤ 90°, low angle first)
hkl, 2theta, I/Imax
0 1 2, 11.47, 30
1 1 3, 18.44, 20
2 1 1, 20.34, 27
3 0 0, 22.56, 18
0 2 4, 23.06, 18
0 0 6, 26.27, 34
2 2 3, 29.29, 100
1 1 6, 29.40, 16
0 4 2, 31.51, 22
2 2 6, 37.37, 40
6 0 0, 46.05, 16
2 2 9, 48.28, 29

***

[4]
Computed X-ray powder pattern of TmSbBr for λ = 1.5418 Å (Cu Kα), from a crystal structure in Alexandria, relaxed with PBE.
Peak positions follow from Bragg's law for the DFT cell and can differ from measured ones.

Atomic structure:
Lattice parameters (Å, degrees): 4.018 5.817 9.969 95.48 101.51 110.18
Space group P-1 (No. 2)
One atom of each set of equivalent atoms:
Tm 0.032 0.207 0.355 x2
Sb 0.337 0.786 0.389 x2
Br 0.475 0.282 0.164 x2

Peak list (12 most intense, 10° ≤ 2θ ≤ 90°, low angle first)
hkl, 2theta, I/Imax
0 1 1, 20.33, 54
1 0 -2, 26.71, 32
1 0 1, 28.24, 60
1 0 -3, 32.23, 100
0 2 0, 33.36, 53
1 1 -2, 34.59, 85
0 0 4, 37.43, 34
-1 2 2, 38.17, 24
1 -2 2, 38.36, 24
-1 2 3, 43.75, 50
-2 1 1, 45.14, 29
0 2 -4, 45.96, 26

***

[5]
Computed X-ray powder pattern of ScBr5 for λ = 1.5418 Å (Cu Kα), from a crystal structure in Alexandria, relaxed with PBE.
Peak positions follow from Bragg's law for the DFT cell and can differ from measured ones.

Atomic structure:
Lattice parameters (Å, degrees): 3.766 14.557 6.447 90.00 90.00 90.00
Space group Cmmm (No. 65)
One atom of each set of equivalent atoms:
Sc 0.000 0.000 0.000 x2
Br 0.000 0.170 0.500 x4
Br 0.000 0.375 0.000 x4
Br 0.000 0.500 0.500 x2

Peak list (12 most intense, 10° ≤ 2θ ≤ 90°, low angle first)
hkl, 2theta, I/Imax
0 4 0, 24.44, 7
0 0 2, 27.67, 51
0 4 1, 28.14, 12
1 3 1, 33.16, 100
0 6 0, 37.06, 9
0 6 2, 46.87, 9
2 0 0, 48.33, 10
1 3 3, 52.53, 26
2 0 2, 56.61, 13
1 9 0, 62.47, 9
1 9 2, 69.64, 12
3 3 1, 80.40, 7

***

[6]
Computed X-ray powder pattern of ScBr3 for λ = 1.5418 Å (Cu Kα), from a crystal structure in Alexandria, relaxed with PBE.
Peak positions follow from Bragg's law for the DFT cell and can differ from measured ones.

Atomic structure:
Lattice parameters (Å, degrees): 7.496 11.538 6.809 90.00 115.98 90.00
Space group Cc (No. 9)
One atom of each set of equivalent atoms:
Sc 0.000 0.086 0.000 x4
Br 0.218 0.076 0.779 x4
Br 0.252 0.249 0.252 x4
Br 0.281 0.425 0.719 x4

Peak list (12 most intense, 10° ≤ 2θ ≤ 90°, low angle first)
hkl, 2theta, I/Imax
1 1 0, 15.23, 39
0 2 1, 21.16, 17
2 0 0, 26.46, 39
1 3 -1, 27.50, 69
0 0 2, 29.18, 30
2 0 -2, 29.61, 49
1 3 1, 33.23, 100
3 1 -2, 38.74, 20
3 3 -1, 43.28, 33
1 3 -3, 46.87, 26
0 6 0, 47.27, 18
2 0 2, 48.13, 17

***

[7]
Computed X-ray powder pattern of ScBr3 for λ = 1.5418 Å (Cu Kα), from a crystal structure in Alexandria, relaxed with PBE.
Peak positions follow from Bragg's law for the DFT cell and can differ from measured ones.

Atomic structure:
Lattice parameters (Å, degrees): 5.323 14.003 3.852 90.00 90.00 90.00
Space group Cmmm (No. 65)
One atom of each set of equivalent atoms:
Sc 0.000 0.000 0.000 x2
Br 0.000 0.132 0.500 x4
Br 0.000 0.500 0.000 x2

Peak list (12 most intense, 10° ≤ 2θ ≤ 90°, low angle first)
hkl, 2theta, I/Imax
0 2 0, 12.64, 77
1 1 0, 17.83, 30
1 3 0, 25.38, 65
0 2 1, 26.41, 41
1 1 1, 29.32, 68
2 0 0, 33.68, 45
0 4 1, 34.61, 100
2 2 1, 43.29, 21
0 0 2, 47.18, 17
2 4 1, 49.07, 64
1 7 1, 54.49, 18
2 0 2, 59.22, 17

***

[8]
Computed X-ray powder pattern of Sc3SeBr7 for λ = 1.5418 Å (Cu Kα), from a crystal structure in Alexandria, relaxed with PBE.
Peak positions follow from Bragg's law for the DFT cell and can differ from measured ones.

Atomic structure:
Lattice parameters (Å, degrees): 13.452 7.766 9.614 90.00 134.24 90.00
Space group Cm (No. 8)
One atom of each set of equivalent atoms:
Sc 0.000 0.000 0.000 x2
Sc 0.240 0.240 0.000 x4
Se 0.051 0.000 0.782 x2
Br 0.062 0.500 0.792 x2
Br 0.193 0.242 0.228 x4
Br 0.303 0.259 0.791 x4
Br 0.435 0.000 0.227 x2
Br 0.444 0.500 0.234 x2

Peak list (12 most intense, 10° ≤ 2θ ≤ 90°, low angle first)
hkl, 2theta, I/Imax
0 0 1, 12.85, 27
0 0 2, 25.87, 17
2 2 -1, 26.51, 8
4 0 -3, 29.56, 100
2 2 1, 37.35, 28
4 0 -4, 37.43, 11
0 4 0, 46.79, 26
4 0 1, 47.98, 25
6 2 -2, 48.73, 5
0 4 2, 54.20, 8
4 4 -3, 56.32, 15
10 2 -6, 76.17, 10

***

[9]
Computed X-ray powder pattern of ScSeBr for λ = 1.5418 Å (Cu Kα), from a crystal structure in Alexandria, relaxed with PBE.
Peak positions follow from Bragg's law for the DFT cell and can differ from measured ones.

Atomic structure:
Lattice parameters (Å, degrees): 7.855 7.855 5.417 90.00 90.00 90.00
Space group P4_2/mmc (No. 131)
One atom of each set of equivalent atoms:
Sc 0.000 0.251 0.000 x4
Se 0.000 0.238 0.500 x4
Br 0.233 0.500 0.000 x4

Peak list (12 most intense, 10° ≤ 2θ ≤ 90°, low angle first)
hkl, 2theta, I/Imax
1 0 0, 11.26, 26
1 0 1, 19.91, 17
2 0 1, 28.06, 92
2 2 0, 32.23, 100
0 0 2, 33.07, 48
4 0 0, 46.23, 34
2 2 2, 46.85, 68
4 2 1, 54.96, 26
4 0 2, 58.01, 34
4 4 2, 77.20, 14
2 2 4, 78.59, 14
6 2 2, 86.13, 21

***

[10]
Computed X-ray powder pattern of SrScTlBr6 for λ = 1.5418 Å (Cu Kα), from a crystal structure in Alexandria, relaxed with PBE.
Peak positions follow from Bragg's law for the DFT cell and can differ from measured ones.

Atomic structure:
Lattice parameters (Å, degrees): 7.5430 7.5430 13.9027 90.00 90.00 120.00
Space group P-31c (No. 163)
One atom of each set of equivalent atoms:
Sr 0.3333 0.6667 0.2500 x2
Sc 0.3333 0.6667 0.7500 x2
Tl 0.0000 0.0000 0.0000 x2
Br 0.0383 0.3864 0.6369 x12

Peak list (12 most intense, 10° ≤ 2θ ≤ 90°, low angle first)
hkl, 2theta, I/Imax
1 0 2, 18.64, 100
2 -1 2, 26.89, 89
2 0 0, 27.30, 16
2 0 2, 30.23, 25
1 1 4, 35.11, 87
2 1 2, 38.70, 37
1 0 6, 41.38, 16
3 0 0, 41.47, 42
4 -1 2, 52.17, 17
3 -1 6, 54.30, 16
4 -2 4, 55.43, 19
3 0 8, 69.14, 19

***

[11]
Computed X-ray powder pattern of Sc2TaBr for λ = 1.5418 Å (Cu Kα), from a crystal structure in Alexandria, relaxed with PBE.
Peak positions follow from Bragg's law for the DFT cell and can differ from measured ones.

Atomic structure:
Lattice parameters (Å, degrees): 4.101 4.937 8.557 90.00 90.00 90.00
Space group Cmmm (No. 65)
One atom of each set of equivalent atoms:
Sc 0.000 0.000 0.238 x4
Ta 0.000 0.500 0.000 x2
Br 0.000 0.500 0.500 x2

Peak list (12 most intense, 10° ≤ 2θ ≤ 90°, low angle first)
hkl, 2theta, I/Imax
0 0 1, 10.34, 37
0 0 2, 20.76, 22
1 1 0, 28.29, 21
1 1 2, 35.35, 100
0 2 0, 36.40, 23
0 0 4, 42.25, 22
2 0 0, 44.17, 13
0 2 4, 56.96, 12
2 2 0, 58.52, 11
2 0 4, 62.77, 14
1 3 2, 64.82, 16
1 1 6, 72.77, 11

***

[12]
Computed X-ray powder pattern of ScTaBr3 for λ = 1.5418 Å (Cu Kα), from a crystal structure in Alexandria, relaxed with PBE.
Peak positions follow from Bragg's law for the DFT cell and can differ from measured ones.

Atomic structure:
Lattice parameters (Å, degrees): 5.298 5.298 5.298 90.00 90.00 90.00
Space group Pm-3m (No. 221)
One atom of each set of equivalent atoms:
Sc 0.000 0.000 0.000 x1
Ta 0.500 0.500 0.500 x1
Br 0.000 0.000 0.500 x3

Peak list (12 most intense, 10° ≤ 2θ ≤ 90°, low angle first)
hkl, 2theta, I/Imax
1 1 0, 23.75, 34
1 1 1, 29.20, 100
2 0 0, 33.84, 78
2 1 1, 41.77, 16
2 2 0, 48.61, 55
3 1 0, 54.80, 7
3 1 1, 57.72, 44
2 2 2, 60.54, 19
3 2 1, 65.98, 8
4 0 0, 71.19, 9
3 3 1, 78.74, 18
4 2 0, 81.20, 24